Entry 1:
For Ag9Ge2IO8, the PBE geometry in Alexandria gives the computed X-ray powder pattern in this record (Cu Kα (weighted mean of Kα1 and Kα2)).
Lines closer than 0.1° are merged.

Cell lengths 9.691, 9.691, 5.826 Å; angles 104.32, 104.32, 41.14 degrees
Fractional positions:
Ag 0.000 0.000 0.000
Ag 0.099 0.547 0.708
Ag 0.232 0.768 0.500
Ag 0.305 0.305 0.278
Ag 0.453 0.901 0.292
Ag 0.547 0.099 0.708
Ag 0.695 0.695 0.722
Ag 0.768 0.232 0.500
Ag 0.901 0.453 0.292
Ge 0.157 0.157 0.778
Ge 0.843 0.843 0.222
I 0.500 0.500 0.000
O 0.089 0.664 0.400
O 0.124 0.124 0.041
O 0.259 0.259 0.872
O 0.336 0.911 0.600
O 0.664 0.089 0.400
O 0.741 0.741 0.128
O 0.876 0.876 0.959
O 0.911 0.336 0.600

Peak list (10 most intense, 2θ = 10–90°, by intensity)
2.593 Å, intensity 100.0; 2.910 Å, intensity 95.2; 2.656 Å, intensity 84.8; 2.917 Å, intensity 73.1; 2.490 Å, intensity 41.8; 1.685 Å, intensity 30.7; 2.712 Å, intensity 27.9; 1.933 Å, intensity 27.4; 1.702 Å, intensity 24.0; 1.470 Å, intensity 22.2



Entry 2:
For Rb4AgGe3I12, the PBE geometry in Alexandria gives the computed X-ray powder pattern in this record (Cu Kα (weighted mean of Kα1 and Kα2)).
Lines closer than 0.1° are merged.

Cell lengths 10.247, 10.247, 10.247 Å; angles 109.47, 109.47, 109.47 degrees
Fractional positions:
Rb 0.000 0.000 0.500
Rb 0.000 0.500 0.000
Rb 0.500 0.000 0.000
Rb 0.500 0.500 0.500
Ag 0.000 0.000 0.000
Ge 0.000 0.500 0.500
Ge 0.500 0.000 0.500
Ge 0.500 0.500 0.000
I 0.000 0.252 0.252
I 0.000 0.748 0.748
I 0.250 0.500 0.750
I 0.250 0.750 0.500
I 0.252 0.000 0.252
I 0.252 0.252 0.000
I 0.500 0.250 0.750
I 0.500 0.750 0.250
I 0.748 0.000 0.748
I 0.748 0.748 0.000
I 0.750 0.250 0.500
I 0.750 0.500 0.250

Peak list (10 most intense, 2θ = 10–90°, by intensity)
2.958 Å, intensity 100.0; 3.416 Å, intensity 93.0; 2.092 Å, intensity 73.6; 1.784 Å, intensity 42.4; 1.323 Å, intensity 32.8; 5.916 Å, intensity 27.9; 1.708 Å, intensity 25.7; 1.208 Å, intensity 24.6; 1.357 Å, intensity 17.2; 2.646 Å, intensity 14.9